(1)
For Ba3Cu2H9, a structure optimized by DFT (PBE) gives the calculated powder X-ray diffraction pattern in this record (CuKα).
Lines closer than 0.1° are merged.

Atomic structure:
a = 7.235 Å, b = 7.235 Å, c = 7.235 Å
α = 83.32°, β = 83.32°, γ = 83.32°
Sites, in units of the cell vectors:
Ba  0.086  0.750  0.414
Ba  0.250  0.586  0.914
Ba  0.414  0.086  0.750
Ba  0.586  0.914  0.250
Ba  0.750  0.414  0.086
Ba  0.914  0.250  0.586
Cu  0.159  0.159  0.159
Cu  0.341  0.341  0.341
Cu  0.659  0.659  0.659
Cu  0.841  0.841  0.841
H  0.059  0.902  0.743
H  0.098  0.257  0.941
H  0.106  0.394  0.250
H  0.243  0.402  0.559
H  0.250  0.106  0.394
H  0.257  0.941  0.098
H  0.394  0.250  0.106
H  0.402  0.559  0.243
H  0.441  0.757  0.598
H  0.559  0.243  0.402
H  0.598  0.441  0.757
H  0.606  0.750  0.894
H  0.743  0.059  0.902
H  0.750  0.894  0.606
H  0.757  0.598  0.441
H  0.894  0.606  0.750
H  0.902  0.743  0.059
H  0.941  0.098  0.257

Top 12 peaks for 2θ = 5–70°, low angle first:
d = 5.340 Å, I = 42; d = 3.339 Å, I = 1000; d = 2.777 Å, I = 752; d = 2.135 Å, I = 307; d = 2.089 Å, I = 251; d = 1.780 Å, I = 97; d = 1.692 Å, I = 276; d = 1.669 Å, I = 125; d = 1.603 Å, I = 140; d = 1.472 Å, I = 89; d = 1.431 Å, I = 145; d = 1.388 Å, I = 89

(2)
For Ba2InCu2H6, a structure optimized by DFT (PBE) gives the calculated powder X-ray diffraction pattern in this record (CuKα).
Lines closer than 0.1° are merged.

Atomic structure:
a = 5.957 Å, b = 5.957 Å, c = 7.428 Å
α = 114.86°, β = 114.86°, γ = 47.32°
Sites, in units of the cell vectors:
Ba  0.193  0.193  0.213
Ba  0.807  0.807  0.787
In  0.000  0.000  0.500
Cu  0.484  0.484  0.682
Cu  0.516  0.516  0.318
H  0.178  0.683  0.166
H  0.317  0.822  0.834
H  0.318  0.318  0.629
H  0.682  0.682  0.371
H  0.683  0.178  0.166
H  0.822  0.317  0.834

Top 12 peaks for 2θ = 5–70°, low angle first:
d = 3.984 Å, I = 615; d = 3.604 Å, I = 430; d = 3.302 Å, I = 1000; d = 3.258 Å, I = 878; d = 2.917 Å, I = 484; d = 2.894 Å, I = 583; d = 2.714 Å, I = 455; d = 2.678 Å, I = 375; d = 2.624 Å, I = 889; d = 2.391 Å, I = 603; d = 2.142 Å, I = 804; d = 1.927 Å, I = 408

(3)
For Ba2CuNiH, a structure optimized by DFT (PBE) gives the calculated powder X-ray diffraction pattern in this record (CuKα).
Lines closer than 0.1° are merged.

Atomic structure:
a = 5.489 Å, b = 5.489 Å, c = 3.611 Å
α = 90.00°, β = 90.00°, γ = 90.00°
Sites, in units of the cell vectors:
Ba  0.000  0.500  0.000
Ba  0.500  0.000  0.000
Cu  0.000  0.000  0.500
Ni  0.500  0.500  0.500
H  0.500  0.500  0.000

Top 12 peaks for 2θ = 5–70°, low angle first:
d = 3.881 Å, I = 136; d = 3.611 Å, I = 60; d = 2.744 Å, I = 564; d = 2.644 Å, I = 1000; d = 2.185 Å, I = 61; d = 1.941 Å, I = 200; d = 1.805 Å, I = 79; d = 1.736 Å, I = 30; d = 1.709 Å, I = 30; d = 1.564 Å, I = 390; d = 1.508 Å, I = 174; d = 1.372 Å, I = 63

(4)
For BaCuNiH6, a structure optimized by DFT (PBE) gives the calculated powder X-ray diffraction pattern in this record (CuKα).
Lines closer than 0.1° are merged.

Atomic structure:
a = 4.635 Å, b = 4.635 Å, c = 4.924 Å
α = 90.00°, β = 90.00°, γ = 120.00°
Sites, in units of the cell vectors:
Ba  0.000  0.000  0.000
Cu  0.333  0.667  0.500
Ni  0.667  0.333  0.500
H  0.509  0.017  0.296
H  0.509  0.017  0.704
H  0.509  0.491  0.296
H  0.509  0.491  0.704
H  0.983  0.491  0.296
H  0.983  0.491  0.704

Top 11 peaks for 2θ = 5–70°, low angle first:
d = 4.014 Å, I = 85; d = 3.111 Å, I = 1000; d = 2.462 Å, I = 147; d = 2.317 Å, I = 381; d = 2.099 Å, I = 36; d = 2.007 Å, I = 18; d = 1.858 Å, I = 215; d = 1.687 Å, I = 286; d = 1.555 Å, I = 12; d = 1.519 Å, I = 123; d = 1.450 Å, I = 191

(5)
For Ba2CuH6Pb, a structure optimized by DFT (PBE) gives the calculated powder X-ray diffraction pattern in this record (CuKα).
Lines closer than 0.1° are merged.

Atomic structure:
a = 5.715 Å, b = 5.715 Å, c = 6.156 Å
α = 117.65°, β = 117.65°, γ = 90.00°
Sites, in units of the cell vectors:
Ba  0.250  0.750  0.000
Ba  0.750  0.250  0.000
Cu  0.000  0.000  0.500
H  0.177  0.177  0.855
H  0.212  0.788  0.500
H  0.213  0.213  0.501
H  0.787  0.787  0.499
H  0.788  0.212  0.500
H  0.823  0.823  0.145
Pb  0.500  0.500  0.500

Top 12 peaks for 2θ = 5–70°, low angle first:
d = 4.867 Å, I = 178; d = 3.048 Å, I = 1000; d = 2.857 Å, I = 420; d = 2.722 Å, I = 48; d = 2.464 Å, I = 72; d = 2.322 Å, I = 121; d = 2.020 Å, I = 160; d = 1.802 Å, I = 216; d = 1.684 Å, I = 350; d = 1.524 Å, I = 128; d = 1.446 Å, I = 107; d = 1.429 Å, I = 52

(6)
For BaPrCu2H6, a structure optimized by DFT (PBE) gives the calculated powder X-ray diffraction pattern in this record (CuKα).
Lines closer than 0.1° are merged.

Atomic structure:
a = 6.676 Å, b = 6.676 Å, c = 7.113 Å
α = 105.51°, β = 105.51°, γ = 99.67°
Sites, in units of the cell vectors:
Ba  0.148  0.852  0.750
Ba  0.852  0.148  0.250
Pr  0.405  0.595  0.250
Pr  0.595  0.405  0.750
Cu  0.135  0.362  0.764
Cu  0.362  0.135  0.264
Cu  0.638  0.865  0.736
Cu  0.865  0.638  0.236
H  0.088  0.591  0.339
H  0.190  0.220  0.112
H  0.220  0.190  0.612
H  0.349  0.561  0.901
H  0.409  0.912  0.161
H  0.439  0.651  0.599
H  0.561  0.349  0.401
H  0.591  0.088  0.839
H  0.651  0.439  0.099
H  0.780  0.810  0.388
H  0.810  0.780  0.888
H  0.912  0.409  0.661

Top 12 peaks for 2θ = 5–70°, low angle first:
d = 4.007 Å, I = 145; d = 3.249 Å, I = 1000; d = 3.237 Å, I = 510; d = 2.551 Å, I = 206; d = 2.499 Å, I = 461; d = 2.131 Å, I = 288; d = 2.107 Å, I = 169; d = 2.003 Å, I = 193; d = 1.959 Å, I = 122; d = 1.619 Å, I = 124; d = 1.550 Å, I = 103; d = 1.367 Å, I = 98

(7)
For BaCuH6Pt, a structure optimized by DFT (PBE) gives the calculated powder X-ray diffraction pattern in this record (CuKα).
Lines closer than 0.1° are merged.

Atomic structure:
a = 4.844 Å, b = 4.844 Å, c = 4.912 Å
α = 90.00°, β = 90.00°, γ = 120.00°
Sites, in units of the cell vectors:
Ba  0.000  0.000  0.000
Cu  0.333  0.667  0.500
H  0.502  0.005  0.281
H  0.502  0.005  0.719
H  0.502  0.498  0.281
H  0.502  0.498  0.719
H  0.995  0.498  0.281
H  0.995  0.498  0.719
Pt  0.667  0.333  0.500

Top 12 peaks for 2θ = 5–70°, low angle first:
d = 4.912 Å, I = 101; d = 4.195 Å, I = 134; d = 3.190 Å, I = 1000; d = 2.456 Å, I = 152; d = 2.422 Å, I = 449; d = 2.172 Å, I = 73; d = 2.120 Å, I = 46; d = 1.929 Å, I = 238; d = 1.725 Å, I = 325; d = 1.525 Å, I = 112; d = 1.509 Å, I = 218; d = 1.398 Å, I = 80

(8)
For BaCuH6Ru, a structure optimized by DFT (PBE) gives the calculated powder X-ray diffraction pattern in this record (CuKα).
Lines closer than 0.1° are merged.

Atomic structure:
a = 4.744 Å, b = 5.043 Å, c = 4.753 Å
α = 90.00°, β = 116.99°, γ = 90.00°
Sites, in units of the cell vectors:
Ba  0.000  0.000  0.000
Cu  0.330  0.500  0.670
H  0.487  0.279  0.009
H  0.487  0.721  0.009
H  0.521  0.308  0.480
H  0.521  0.692  0.480
H  0.989  0.280  0.512
H  0.989  0.720  0.512
Ru  0.687  0.500  0.311

Top 12 peaks for 2θ = 5–70°, low angle first:
d = 4.232 Å, I = 95; d = 3.241 Å, I = 1000; d = 3.157 Å, I = 635; d = 2.521 Å, I = 256; d = 2.482 Å, I = 252; d = 2.371 Å, I = 424; d = 1.951 Å, I = 312; d = 1.769 Å, I = 183; d = 1.727 Å, I = 323; d = 1.562 Å, I = 110; d = 1.543 Å, I = 108; d = 1.472 Å, I = 154

(9)
For Ba2CuH6Ru, a structure optimized by DFT (PBE) gives the calculated powder X-ray diffraction pattern in this record (CuKα).
Lines closer than 0.1° are merged.

Atomic structure:
a = 5.665 Å, b = 5.665 Å, c = 5.029 Å
α = 90.00°, β = 90.00°, γ = 120.00°
Sites, in units of the cell vectors:
Ba  0.333  0.667  0.242
Ba  0.667  0.333  0.758
Cu  0.000  0.000  0.500
H  0.144  0.288  0.787
H  0.144  0.856  0.787
H  0.288  0.144  0.213
H  0.712  0.856  0.787
H  0.856  0.144  0.213
H  0.856  0.712  0.213
Ru  0.000  0.000  0.000

Top 12 peaks for 2θ = 5–70°, low angle first:
d = 4.906 Å, I = 47; d = 3.512 Å, I = 965; d = 2.832 Å, I = 1000; d = 2.238 Å, I = 495; d = 2.205 Å, I = 286; d = 1.756 Å, I = 238; d = 1.740 Å, I = 255; d = 1.635 Å, I = 188; d = 1.586 Å, I = 98; d = 1.492 Å, I = 272; d = 1.416 Å, I = 119; d = 1.384 Å, I = 65

(10)
For BaCu2SbH2, a structure optimized by DFT (PBE) gives the calculated powder X-ray diffraction pattern in this record (CuKα).
Lines closer than 0.1° are merged.

Atomic structure:
a = 6.404 Å, b = 4.963 Å, c = 7.707 Å
α = 90.00°, β = 114.07°, γ = 90.00°
Sites, in units of the cell vectors:
Ba  0.178  0.250  0.377
Ba  0.822  0.750  0.623
Cu  0.472  0.505  0.821
Cu  0.472  0.995  0.821
Cu  0.528  0.005  0.179
Cu  0.528  0.495  0.179
Sb  0.161  0.250  0.914
Sb  0.839  0.750  0.086
H  0.339  0.750  0.652
H  0.446  0.750  0.286
H  0.554  0.250  0.714
H  0.661  0.250  0.348

Top 12 peaks for 2θ = 5–70°, low angle first:
d = 7.037 Å, I = 199; d = 3.784 Å, I = 1000; d = 3.002 Å, I = 324; d = 2.905 Å, I = 382; d = 2.870 Å, I = 557; d = 2.585 Å, I = 446; d = 2.519 Å, I = 322; d = 2.284 Å, I = 470; d = 2.073 Å, I = 227; d = 1.949 Å, I = 217; d = 1.892 Å, I = 203; d = 1.761 Å, I = 164

(11)
For Ba6CuHg5, a structure optimized by DFT (PBE) gives the calculated powder X-ray diffraction pattern in this record (CuKα).
Lines closer than 0.1° are merged.

Atomic structure:
a = 5.944 Å, b = 8.302 Å, c = 9.385 Å
α = 90.00°, β = 108.29°, γ = 90.00°
Sites, in units of the cell vectors:
Ba  0.000  0.243  0.000
Ba  0.000  0.757  0.000
Ba  0.336  0.247  0.674
Ba  0.336  0.753  0.674
Ba  0.664  0.247  0.326
Ba  0.664  0.753  0.326
Cu  0.500  0.000  0.000
Hg  0.168  0.500  0.333
Hg  0.173  0.000  0.343
Hg  0.500  0.500  0.000
Hg  0.827  0.000  0.657
Hg  0.832  0.500  0.667

Top 12 peaks for 2θ = 5–70°, low angle first:
d = 4.202 Å, I = 25; d = 2.971 Å, I = 507; d = 2.953 Å, I = 1000; d = 2.104 Å, I = 96; d = 2.098 Å, I = 95; d = 2.076 Å, I = 92; d = 1.712 Å, I = 302; d = 1.710 Å, I = 99; d = 1.702 Å, I = 198; d = 1.486 Å, I = 63; d = 1.478 Å, I = 62; d = 1.475 Å, I = 62

(12)
For Ba8Cu4Hg4O17, a structure optimized by DFT (PBE) gives the calculated powder X-ray diffraction pattern in this record (CuKα).
Lines closer than 0.1° are merged.

Atomic structure:
a = 8.675 Å, b = 8.675 Å, c = 10.500 Å
α = 109.30°, β = 109.30°, γ = 53.16°
Sites, in units of the cell vectors:
Ba  0.070  0.070  0.280
Ba  0.176  0.176  0.705
Ba  0.323  0.323  0.293
Ba  0.426  0.426  0.704
Ba  0.574  0.574  0.296
Ba  0.677  0.677  0.707
Ba  0.824  0.824  0.295
Ba  0.930  0.930  0.720
Cu  0.000  0.500  0.500
Cu  0.248  0.752  0.500
Cu  0.500  0.000  0.500
Cu  0.752  0.248  0.500
Hg  0.122  0.637  0.000
Hg  0.363  0.878  0.000
Hg  0.637  0.122  0.000
Hg  0.878  0.363  0.000
O  0.000  0.000  0.000
O  0.000  0.000  0.500
O  0.075  0.567  0.791
O  0.128  0.621  0.499
O  0.179  0.672  0.209
O  0.250  0.250  0.500
O  0.328  0.821  0.791
O  0.379  0.872  0.501
O  0.433  0.925  0.209
O  0.500  0.500  0.500
O  0.567  0.075  0.791
O  0.621  0.128  0.499
O  0.672  0.179  0.209
O  0.750  0.750  0.500
O  0.821  0.328  0.791
O  0.872  0.379  0.501
O  0.925  0.433  0.209

Top 12 peaks for 2θ = 5–70°, low angle first:
d = 3.606 Å, I = 289; d = 3.252 Å, I = 92; d = 3.037 Å, I = 1000; d = 2.744 Å, I = 512; d = 2.439 Å, I = 135; d = 2.097 Å, I = 176; d = 1.941 Å, I = 114; d = 1.940 Å, I = 114; d = 1.823 Å, I = 163; d = 1.743 Å, I = 152; d = 1.709 Å, I = 70; d = 1.635 Å, I = 325